Record 1
CrP4C2O2: theoretical X-ray powder pattern (λ = 1.5418 Å (Cu Kα)), based on a cell relaxed with GGA+U.
Lines closer than 0.1° are merged.

Most intense lines, 2θ from 10° to 90°, most intense first:
2θ = 14.42°, d 6.141, rel. 100
2θ = 12.82°, d 6.905, rel. 68
2θ = 16.25°, d 5.455, rel. 45
2θ = 17.52°, d 5.062, rel. 36
2θ = 30.68°, d 2.915, rel. 34
2θ = 25.83°, d 3.449, rel. 25
2θ = 30.39°, d 2.941, rel. 23
2θ = 14.70°, d 6.027, rel. 22
2θ = 14.92°, d 5.938, rel. 21
2θ = 27.60°, d 3.232, rel. 14

Structure:
```
CrP4C2O2
1.0
3.6691 -5.9382 0.0000
3.6691 5.9382 0.0000
-2.9620 0.0000 13.8103
Cr P C O
2 8 4 4
direct
0.0680 0.9320 0.7500
0.9320 0.0680 0.2500
0.0680 0.7126 0.8520
0.2100 0.3282 0.3596
0.2874 0.9320 0.6480
0.3282 0.2100 0.8596
0.6718 0.7900 0.1404
0.7126 0.0680 0.3520
0.7900 0.6718 0.6404
0.9320 0.2874 0.1480
0.0459 0.1423 0.6748
0.1423 0.0459 0.1748
0.8577 0.9541 0.8252
0.9541 0.8577 0.3252
0.0322 0.2656 0.6293
0.2656 0.0322 0.1293
0.7344 0.9678 0.8707
0.9678 0.7344 0.3707
```

=====

Record 2
Mn3O2F4: theoretical X-ray powder pattern (λ = 1.5418 Å (Cu Kα)), based on a cell relaxed with GGA+U.
Lines closer than 0.1° are merged.

Most intense lines, 2θ from 10° to 90°, most intense first:
2θ = 26.60°, d 3.351, rel. 100
2θ = 33.37°, d 2.685, rel. 33
2θ = 33.74°, d 2.657, rel. 25
2θ = 51.13°, d 1.787, rel. 17
2θ = 51.49°, d 1.775, rel. 17
2θ = 51.90°, d 1.762, rel. 14
2θ = 51.75°, d 1.766, rel. 14
2θ = 38.74°, d 2.325, rel. 12
2θ = 65.47°, d 1.426, rel. 12
2θ = 56.97°, d 1.616, rel. 11

Structure:
```
Mn3O2F4
1.0
3.3569 -3.3447 0.0000
3.3569 3.3447 0.0000
-0.1557 0.0000 9.6986
Mn O F
6 4 8
direct
0.0000 0.0000 0.0000
0.0295 0.0295 0.6743
0.5032 0.4968 0.5000
0.5288 0.4596 0.8252
0.5404 0.4712 0.1748
0.9705 0.9705 0.3257
0.3334 0.3051 0.6659
0.6949 0.6666 0.3341
0.8115 0.1668 0.1675
0.8332 0.1885 0.8325
0.1920 0.8080 0.5000
0.2241 0.7652 0.1587
0.2348 0.7759 0.8413
0.2867 0.2655 0.3372
0.3385 0.2841 0.0123
0.7159 0.6615 0.9877
0.7345 0.7133 0.6628
0.8081 0.1919 0.5000
```

=====

Record 3
LiFe4B4O12: theoretical X-ray powder pattern (λ = 1.5418 Å (Cu Kα)), based on a cell relaxed with GGA+U.
Lines closer than 0.1° are merged.

Most intense lines, 2θ from 10° to 90°, most intense first:
2θ = 21.37°, d 4.158, rel. 100
2θ = 19.64°, d 4.521, rel. 97
2θ = 35.30°, d 2.543, rel. 91
2θ = 21.50°, d 4.133, rel. 57
2θ = 26.34°, d 3.384, rel. 56
2θ = 19.37°, d 4.581, rel. 48
2θ = 49.22°, d 1.851, rel. 43
2θ = 26.08°, d 3.417, rel. 37
2θ = 25.97°, d 3.432, rel. 36
2θ = 34.15°, d 2.625, rel. 34

Structure:
```
LiFe4B4O12
1.0
5.2521 0.0000 0.0000
0.1580 9.1486 0.0000
2.5890 4.4794 10.1715
Li Fe B O
2 8 8 24
direct
0.0000 0.0000 0.0000
0.0163 0.0258 0.2632
0.0135 0.3437 0.9828
0.0393 0.6989 0.2389
0.2671 0.9231 0.4875
0.2932 0.6243 0.7372
0.5034 0.8306 0.9887
0.5456 0.2145 0.2299
0.7573 0.4206 0.4857
0.7883 0.1224 0.7368
0.0082 0.6764 0.9791
0.0405 0.3670 0.2430
0.2476 0.5868 0.4878
0.2975 0.9575 0.7404
0.5065 0.1549 0.9924
0.5437 0.8899 0.2271
0.7559 0.0903 0.4807
0.8039 0.4601 0.7332
0.0140 0.5984 0.4472
0.0372 0.4485 0.7737
0.1250 0.0630 0.7571
0.1274 0.7767 0.0221
0.1599 0.5763 0.9331
0.2489 0.1538 0.9981
0.2513 0.8583 0.6798
0.3009 0.3600 0.2379
0.3077 0.6985 0.5361
0.3852 0.9866 0.2819
0.4154 0.4758 0.4811
0.4148 0.7995 0.1812
0.5254 0.9423 0.7864
0.5284 0.1033 0.4348
0.6363 0.2447 0.0394
0.6371 0.5719 0.7390
0.6685 0.0552 0.9412
0.7437 0.3479 0.6854
0.7484 0.6843 0.9830
0.7998 0.1866 0.5431
0.8066 0.8946 0.2157
0.8900 0.4667 0.2898
0.9209 0.2657 0.2009
0.9331 0.9880 0.4591
```